# 1
Tb3Ho7Th: theoretical X-ray powder pattern (Cu Kα X-rays), based on a PBE-relaxed structure.

Largest 8 diffraction maxima, by angle, 15° ≤ 2θ ≤ 90°:
2θ/deg  I_rel
31.2  100
36.2  51
52.0  18
52.2  18
61.9  11
62.0  32
65.1  9
85.3  9

Structure:
```
Tb3Ho7Th
1.0
7.0139 0.0000 0.0000
-3.5070 6.0742 0.0000
0.0000 0.0000 8.6195
Tb Ho Th
3 7 1
Direct
0.0031 0.5015 0.0000 Tb
0.4985 0.5015 0.0000 Tb
0.4985 0.9969 0.0000 Tb
0.1692 0.3384 0.3392 Ho
0.1692 0.8308 0.3392 Ho
0.3351 0.1675 0.6664 Ho
0.6616 0.8308 0.3392 Ho
0.6667 0.3333 0.3350 Ho
0.8325 0.1675 0.6664 Ho
0.8325 0.6649 0.6664 Ho
0.3333 0.6667 0.6665 Th
```

# 2
Tb2Ho8Th3: theoretical X-ray powder pattern (Cu Kα X-rays), based on a PBE-relaxed structure.

Largest 8 diffraction maxima, by angle, 15° ≤ 2θ ≤ 90°:
2θ/deg  I_rel
24.1  18
31.2  100
31.9  91
32.5  40
37.1  22
40.4  14
56.4  21
63.4  14

Structure:
```
Tb2Ho8Th3
1.0
-2.8030 3.3827 11.0589
2.8030 -3.3827 11.0589
2.8030 3.3827 -11.0589
Tb Ho Th
2 8 3
Direct
0.2238 0.2238 0.0000 Tb
0.7762 0.7762 0.0000 Tb
0.0753 0.0753 0.0000 Ho
0.0890 0.3498 0.7392 Ho
0.3173 0.8173 0.5000 Ho
0.3894 0.6502 0.7392 Ho
0.6106 0.3498 0.2608 Ho
0.6827 0.1827 0.5000 Ho
0.9110 0.6502 0.2608 Ho
0.9247 0.9247 0.0000 Ho
0.2320 0.5000 0.7320 Th
0.5000 0.0000 0.5000 Th
0.7680 0.5000 0.2680 Th
```

# 3
Tb2Ho4Th: theoretical X-ray powder pattern (Cu Kα X-rays), based on a PBE-relaxed structure.

Largest 8 diffraction maxima, by angle, 15° ≤ 2θ ≤ 90°:
2θ/deg  I_rel
28.8  37
31.3  53
32.5  100
33.2  95
51.0  41
56.1  21
57.5  20
61.1  48

Structure:
```
Tb2Ho4Th
1.0
3.1004 -1.7907 0.0000
3.1004 1.7907 0.0000
-2.0753 0.0000 19.9786
Tb Ho Th
2 4 1
Direct
0.0000 0.0000 0.0000 Tb
0.0936 0.0936 0.2845 Tb
0.1886 0.1886 0.5681 Ho
0.2860 0.2860 0.8570 Ho
0.7132 0.7132 0.1424 Ho
0.8074 0.8074 0.4269 Ho
0.9039 0.9039 0.7123 Th
```

Please write out number 2 again, unchanged.
Tb2Ho8Th3: theoretical X-ray powder pattern (Cu Kα X-rays), based on a PBE-relaxed structure.

Largest 8 diffraction maxima, by angle, 15° ≤ 2θ ≤ 90°:
2θ/deg  I_rel
24.1  18
31.2  100
31.9  91
32.5  40
37.1  22
40.4  14
56.4  21
63.4  14

Structure:
```
Tb2Ho8Th3
1.0
-2.8030 3.3827 11.0589
2.8030 -3.3827 11.0589
2.8030 3.3827 -11.0589
Tb Ho Th
2 8 3
Direct
0.2238 0.2238 0.0000 Tb
0.7762 0.7762 0.0000 Tb
0.0753 0.0753 0.0000 Ho
0.0890 0.3498 0.7392 Ho
0.3173 0.8173 0.5000 Ho
0.3894 0.6502 0.7392 Ho
0.6106 0.3498 0.2608 Ho
0.6827 0.1827 0.5000 Ho
0.9110 0.6502 0.2608 Ho
0.9247 0.9247 0.0000 Ho
0.2320 0.5000 0.7320 Th
0.5000 0.0000 0.5000 Th
0.7680 0.5000 0.2680 Th
```